# CsReBr4
Computed powder X-ray diffraction pattern, Cu Kα, 1.54184 Å. Input: a structure optimized by DFT (GGA-PBE).

Top 12 peaks for 10° ≤ 2θ ≤ 80°, by angle:
2θ 12.7, intensity 100, hkl 1 1 1; 2θ 13.2, intensity 15, hkl 0 0 2; 2θ 25.6, intensity 11, hkl 1 2 3; 2θ 27.0, intensity 29, hkl 2 1 3; 2θ 27.5, intensity 19, hkl 0 4 0; 2θ 29.5, intensity 28, hkl 3 1 2; 2θ 29.6, intensity 17, hkl 1 4 1; 2θ 29.9, intensity 14, hkl 0 2 4; 2θ 43.9, intensity 18, hkl 2 5 3; 2θ 45.1, intensity 10, hkl 4 3 3; 2θ 46.7, intensity 10, hkl 0 6 3; 2θ 48.6, intensity 12, hkl 1 1 7

Structural model:
a b c (Å): 10.5460 12.9644 13.4608
angles (deg): 90.00 90.00 90.00
Sites, in units of the cell vectors:
Cs 0.1666 0.1966 0.1343
Cs 0.1666 0.3034 0.6343
Cs 0.3334 0.6966 0.1343
Cs 0.3334 0.8034 0.6343
Cs 0.6666 0.1966 0.3657
Cs 0.6666 0.3034 0.8657
Cs 0.8334 0.6966 0.3657
Cs 0.8334 0.8034 0.8657
Re 0.0587 0.0138 0.4321
Re 0.0587 0.4862 0.9321
Re 0.4413 0.5138 0.4321
Re 0.4413 0.9862 0.9321
Re 0.5587 0.0138 0.0679
Re 0.5587 0.4862 0.5679
Re 0.9413 0.5138 0.0679
Re 0.9413 0.9862 0.5679
Br 0.0296 0.2023 0.3949
Br 0.0296 0.2977 0.8949
Br 0.0872 0.0154 0.7119
Br 0.0872 0.4846 0.2119
Br 0.1506 0.6580 0.8906
Br 0.1506 0.8420 0.3906
Br 0.2269 0.5604 0.4975
Br 0.2269 0.9396 0.9975
Br 0.2731 0.0604 0.4975
Br 0.2731 0.4396 0.9975
Br 0.3494 0.1580 0.8906
Br 0.3494 0.3420 0.3906
Br 0.4128 0.5154 0.7119
Br 0.4128 0.9846 0.2119
Br 0.4704 0.7023 0.3949
Br 0.4704 0.7977 0.8949
Br 0.5296 0.2023 0.1051
Br 0.5296 0.2977 0.6051
Br 0.5872 0.0154 0.7881
Br 0.5872 0.4846 0.2881
Br 0.6506 0.6580 0.6094
Br 0.6506 0.8420 0.1094
Br 0.7269 0.5604 0.0025
Br 0.7269 0.9396 0.5025
Br 0.7731 0.0604 0.0025
Br 0.7731 0.4396 0.5025
Br 0.8494 0.1580 0.6094
Br 0.8494 0.3420 0.1094
Br 0.9128 0.5154 0.7881
Br 0.9128 0.9846 0.2881
Br 0.9704 0.7023 0.1051
Br 0.9704 0.7977 0.6051